Structure and calculated X-ray diffraction stick pattern of V2OsRu (a structure optimized by DFT (GGA-PBE); a wavelength of 1.5418 Å).
No peak broadening, texture or thermal motion is included.

Largest 9 diffraction maxima, in order of falling intensity, 2θ = 10–80°:
(hkl), 2θ (°), I_rel
2 2 0, 42.3, 100
4 2 2, 77.5, 32
2 0 0, 29.6, 31
4 0 0, 61.4, 16
4 2 0, 69.7, 12
1 1 1, 25.6, 11
2 2 2, 52.5, 9
3 1 1, 50.1, 6
3 3 1, 67.6, 3

Cell and atoms:
a b c (Å): 6.0367 6.0367 6.0367
angles (deg): 90.00 90.00 90.00
Space group Fm-3m (No. 225)
Symmetry-distinct sites (fractional):
V1 0.2500 0.2500 0.2500 x8
Os1 0.0000 0.0000 0.0000 x4
Ru1 0.0000 0.0000 0.5000 x4



Structure and calculated X-ray diffraction stick pattern of CaSn2O5 (a structure optimized by DFT (GGA-PBE); a wavelength of 1.5418 Å).
No peak broadening, texture or thermal motion is included.

Largest 10 diffraction maxima, in order of falling intensity, 2θ = 10–80°:
(hkl), 2θ (°), I_rel
0 0 1, 16.2, 100
1 3 0, 32.8, 67
1 0 1, 29.6, 54
0 3 1, 26.9, 50
1 1 1, 30.5, 48
1 1 0, 25.6, 39
1 4 2, 51.1, 38
0 2 1, 21.6, 34
0 4 1, 33.1, 31
0 4 0, 28.6, 28

Cell and atoms:
a b c (Å): 3.6173 12.4677 5.4769
angles (deg): 90.00 90.00 90.00
Space group Pmmn (No. 59, origin choice 2)
Symmetry-distinct sites (fractional):
Ca1 0.2500 0.2500 0.1042 x2
Sn1 0.2500 0.6026 0.3998 x4
O1 0.2500 0.0688 0.4308 x4
O2 0.2500 0.6376 0.0547 x4
O3 0.2500 0.7500 0.5779 x2



Structure and calculated X-ray diffraction stick pattern of W3Se2S4 (a structure optimized by DFT (GGA-PBE); a wavelength of 1.5418 Å).
No peak broadening, texture or thermal motion is included.

Largest 10 diffraction maxima, in order of falling intensity, 2θ = 10–80°:
(hkl), 2θ (°), I_rel
0 0 4, 11.9, 100
1 0 7, 38.5, 36
1 0 6, 36.9, 35
1 0 11, 46.7, 28
1 1 0, 57.0, 23
0 0 5, 14.9, 22
1 0 0, 32.0, 20
1 0 10, 44.5, 15
1 0 2, 32.6, 14
1 0 4, 34.2, 14

Cell and atoms:
a b c (Å): 3.2322 3.2322 29.6945
angles (deg): 90.00 90.00 120.00
Space group P-6m2 (No. 187)
Symmetry-distinct sites (fractional):
W1 0.0000 0.0000 0.0000 x1
W2 0.6667 0.3333 0.2314 x2
Se1 0.6667 0.3333 0.0578 x2
S1 0.0000 0.0000 0.1789 x2
S2 0.0000 0.0000 0.2838 x2



Structure and calculated X-ray diffraction stick pattern of MgSi2 (a structure optimized by DFT (GGA-PBE); a wavelength of 1.5418 Å).
No peak broadening, texture or thermal motion is included.

Largest 10 diffraction maxima, in order of falling intensity, 2θ = 10–80°:
(hkl), 2θ (°), I_rel
0 0 4, 39.7, 100
3 0 1, 39.3, 99
3 0 -3, 41.4, 88
2 1 -1, 40.3, 80
1 1 -2, 38.5, 68
1 1 2, 41.2, 60
0 1 0, 32.2, 28
4 1 -1, 58.3, 21
0 2 0, 67.4, 21
2 1 3, 54.1, 18

Cell and atoms:
a b c (Å): 7.7097 2.7781 9.3152
angles (deg): 90.00 102.68 90.00
Space group P2/m (No. 10)
Symmetry-distinct sites (fractional):
Mg1 0.1461 0.0000 0.1393 x2
Mg2 0.2897 0.0000 0.6315 x2
Si1 0.0448 0.5000 0.3786 x2
Si2 0.1892 0.5000 0.8749 x2
Si3 0.3829 0.5000 0.3830 x2
Si4 0.4681 0.5000 0.1257 x2



Structure and calculated X-ray diffraction stick pattern of Rb4MgH12Se8O24 (a structure optimized by DFT (GGA-PBE); a wavelength of 1.5418 Å).
No peak broadening, texture or thermal motion is included.

Largest 10 diffraction maxima, in order of falling intensity, 2θ = 10–80°:
(hkl), 2θ (°), I_rel
1 1 -4, 25.4, 100
1 1 4, 25.7, 98
0 0 8, 31.7, 46
2 0 0, 29.0, 31
0 2 0, 28.0, 29
0 0 4, 15.7, 24
1 1 2, 21.6, 21
0 2 8, 42.8, 20
1 1 12, 53.1, 19
1 1 -2, 21.5, 17

Cell and atoms:
a b c (Å): 6.1593 6.3672 22.6089
angles (deg): 90.00 90.95 90.00
Space group P2 (No. 3)
Symmetry-distinct sites (fractional):
Rb1 0.0282 0.0000 0.1201 x2
Rb2 0.4532 0.4962 0.6248 x2
Mg1 0.5000 0.0539 0.5000 x1
H1 0.0464 0.2220 0.4352 x2
H2 0.1403 0.5224 0.8633 x2
H3 0.2355 0.7084 0.2594 x2
H4 0.2639 0.7895 0.7632 x2
H5 0.3667 0.9697 0.3603 x2
H6 0.4561 0.3109 0.9472 x2
Se1 0.0082 0.4145 0.7476 x2
Se2 0.0126 0.9471 0.6305 x2
Se3 0.4803 0.5582 0.1248 x2
Se4 0.4899 0.0810 0.2441 x2
O1 0.0288 0.2217 0.6035 x2
O2 0.0317 0.4238 0.1777 x2
O3 0.1389 0.8073 0.5804 x2
O4 0.2146 0.5686 0.2821 x2
O5 0.2288 0.5685 0.7358 x2
O6 0.2411 0.5888 0.8958 x2
O7 0.2667 0.9051 0.3926 x2
O8 0.2715 0.9250 0.2299 x2
O9 0.2852 0.9323 0.7845 x2
O10 0.3622 0.7301 0.0809 x2
O11 0.4429 0.3022 0.0858 x2
O12 0.4663 0.0662 0.6810 x2



Structure and calculated X-ray diffraction stick pattern of Tb3Ho (a structure optimized by DFT (GGA-PBE); a wavelength of 1.5418 Å).
No peak broadening, texture or thermal motion is included.

Largest 10 diffraction maxima, in order of falling intensity, 2θ = 10–80°:
(hkl), 2θ (°), I_rel
1 1 2, 30.8, 100
2 0 0, 35.8, 34
3 1 2, 61.3, 28
2 0 4, 51.4, 24
0 0 4, 35.6, 17
1 1 6, 61.1, 14
2 2 4, 64.2, 12
2 2 0, 51.5, 12
4 0 0, 75.9, 4
0 0 8, 75.5, 2

Cell and atoms:
a b c (Å): 5.0166 5.0166 10.0755
angles (deg): 90.00 90.00 90.00
Space group I4/mmm (No. 139)
Symmetry-distinct sites (fractional):
Tb1 0.0000 0.0000 0.0000 x2
Tb2 0.0000 0.5000 0.2500 x4
Ho1 0.0000 0.0000 0.5000 x2